(1)
For Na2B3C, a structure optimized by DFT (PBE) gives the simulated powder diffractogram in this record (a wavelength of 1.5418 Å).
Intensities are scaled so that the largest is 100.

```
Na2B3C
1.0
5.7975 0.0000 0.0000
2.8571 5.0735 0.0000
2.8975 -0.0016 8.6210
Na B C
8 12 4
direct
0.0000 0.0000 0.0000 Na
0.0002 0.4989 0.9977 Na
0.2495 0.4981 0.4988 Na
0.2517 0.9993 0.4955 Na
0.5005 0.4984 0.9977 Na
0.5007 0.9984 0.9981 Na
0.7504 0.9997 0.4994 Na
0.7502 0.4988 0.4985 Na
0.0514 0.6428 0.2466 B
0.0518 0.1754 0.2477 B
0.2004 0.8405 0.2485 B
0.4444 0.8420 0.7482 B
0.4586 0.3311 0.7486 B
0.5204 0.1741 0.2472 B
0.5363 0.6608 0.2509 B
0.7153 0.3249 0.2494 B
0.7163 0.8409 0.2478 B
0.7941 0.6612 0.7475 B
0.9630 0.8418 0.7483 B
0.9658 0.3189 0.7477 B
0.2109 0.3340 0.2464 C
0.2915 0.1634 0.7481 C
0.2923 0.6640 0.7489 C
0.7943 0.1633 0.7483 C
```

Main lines, low angle first (2θ = 10–90°):
2.537 Å, I = 20
2.526 Å, I = 19
2.508 Å, I = 17
2.186 Å, I = 98
2.179 Å, I = 98
2.168 Å, I = 100
2.155 Å, I = 74
1.466 Å, I = 18
1.456 Å, I = 17
1.449 Å, I = 17
1.212 Å, I = 28
1.206 Å, I = 17

***

(2)
For Li2Pt, a structure optimized by DFT (PBE) gives the simulated powder diffractogram in this record (a wavelength of 1.5418 Å).
Intensities are scaled so that the largest is 100.

```
Li2Pt
1.0
-2.0724 2.0724 9.7430
2.0724 -2.0724 9.7430
2.0724 2.0724 -9.7430
Li Pt
8 4
direct
0.1237 0.3737 0.7500 Li
0.2860 0.5360 0.7500 Li
0.3737 0.1237 0.2500 Li
0.4640 0.7140 0.7500 Li
0.5360 0.2860 0.2500 Li
0.6263 0.8763 0.7500 Li
0.7140 0.4640 0.2500 Li
0.8763 0.6263 0.2500 Li
0.0474 0.7974 0.2500 Pt
0.2026 0.9526 0.2500 Pt
0.7974 0.0474 0.7500 Pt
0.9526 0.2026 0.7500 Pt
```

Main lines, low angle first (2θ = 10–90°):
4.871 Å, I = 13
4.054 Å, I = 100
2.839 Å, I = 30
2.807 Å, I = 32
2.311 Å, I = 28
2.176 Å, I = 56
2.072 Å, I = 25
1.845 Å, I = 24
1.674 Å, I = 13
1.578 Å, I = 10
1.543 Å, I = 16
1.215 Å, I = 18